The following is a calculated powder diffractogram of LaPd2F11. It was derived from a cell relaxed with PBE, using CuKα.

Atomic structure:
a b c (Å): 8.2820 8.2820 8.2820
angles (deg): 114.44 114.36 100.01
Sites, in units of the cell vectors:
La 0.2500 0.2500 0.0000
La 0.7500 0.7500 0.0000
Pd 0.1631 0.6631 0.8262
Pd 0.3369 0.1631 0.5000
Pd 0.6631 0.8369 0.5000
Pd 0.8369 0.3369 0.1738
F 0.0000 0.5000 0.5000
F 0.0709 0.3545 0.1638
F 0.0930 0.9291 0.2839
F 0.1452 0.4291 0.8361
F 0.1892 0.3110 0.5001
F 0.1907 0.9071 0.8362
F 0.3093 0.1455 0.7164
F 0.3108 0.8110 0.1218
F 0.3548 0.1909 0.2839
F 0.4070 0.6909 0.8361
F 0.4291 0.5929 0.2836
F 0.5000 0.0000 0.5000
F 0.5709 0.4071 0.7164
F 0.5930 0.3091 0.1639
F 0.6452 0.8091 0.7161
F 0.6892 0.1890 0.8782
F 0.6907 0.8545 0.2836
F 0.8093 0.0929 0.1638
F 0.8108 0.6890 0.4999
F 0.8548 0.5709 0.1639
F 0.9070 0.0709 0.7161
F 0.9291 0.6455 0.8362

Top 10 peaks for 5° ≤ 2θ ≤ 70°, by intensity:
d_spacing	I/Imax
4.078	100.0
3.755	94.1
3.431	77.3
1.965	42.8
1.941	37.7
2.838	35.3
2.039	34.8
2.660	24.8
2.067	19.0
2.006	17.9

The following is a calculated powder diffractogram of La4Pd2F. It was derived from a cell relaxed with PBE, using CuKα.

Atomic structure:
a b c (Å): 8.3407 8.3407 8.3407
angles (deg): 144.96 144.96 50.39
Sites, in units of the cell vectors:
La 0.0000 0.5000 0.5000
La 0.1965 0.1965 0.0000
La 0.5000 0.0000 0.5000
La 0.8035 0.8035 0.0000
Pd 0.3777 0.3777 0.0000
Pd 0.6223 0.6223 0.0000
F 0.0000 0.0000 0.0000

Top 10 peaks for 5° ≤ 2θ ≤ 70°, by intensity:
d_spacing	I/Imax
3.213	100.0
2.587	99.3
2.511	83.7
1.776	38.9
1.802	37.0
1.554	34.4
1.464	24.3
3.551	20.1
1.981	11.5
1.509	7.7

The following is a calculated powder diffractogram of RbLaPdF6. It was derived from a cell relaxed with PBE, using CuKα.

Atomic structure:
a b c (Å): 7.8194 7.8194 7.8194
angles (deg): 119.95 116.60 93.03
Sites, in units of the cell vectors:
Rb 0.4106 0.1606 0.2500
Rb 0.5894 0.8394 0.7500
La 0.0000 0.0000 0.5000
La 0.0000 0.5000 0.0000
Pd 0.0000 0.5000 0.5000
Pd 0.5000 0.5000 0.0000
F 0.1107 0.3607 0.7500
F 0.1346 0.8846 0.2500
F 0.1448 0.4454 0.3251
F 0.1448 0.8197 0.6994
F 0.3798 0.1803 0.8251
F 0.3798 0.5546 0.1994
F 0.6202 0.4454 0.8006
F 0.6202 0.8197 0.1749
F 0.8552 0.1803 0.3006
F 0.8552 0.5546 0.6749
F 0.8654 0.1154 0.7500
F 0.8893 0.6393 0.2500

Top 10 peaks for 5° ≤ 2θ ≤ 70°, by intensity:
d_spacing	I/Imax
3.264	100.0
3.446	71.3
1.951	66.1
3.356	65.4
3.164	40.1
6.531	39.4
6.329	32.5
2.054	25.4
2.197	23.6
2.517	23.1

The following is a calculated powder diffractogram of La3PmF. It was derived from a cell relaxed with PBE, using CuKα.

Atomic structure:
a b c (Å): 5.2861 5.2861 5.2861
angles (deg): 90.00 90.00 90.00
Sites, in units of the cell vectors:
La 0.0000 0.0000 0.5000
La 0.0000 0.5000 0.0000
La 0.5000 0.0000 0.0000
Pm 0.5000 0.5000 0.5000
F 0.0000 0.0000 0.0000

Top 6 peaks for 5° ≤ 2θ ≤ 70°, by intensity:
d_spacing	I/Imax
3.052	100.0
2.643	58.7
1.594	44.3
1.869	42.0
1.526	14.4
3.738	0.8